Theoretical powder XRD pattern of KTaMoO6 for Cu Kα (weighted mean of Kα1 and Kα2), from a crystal structure in Alexandria, relaxed with GGA+U.

Structural model:
abc: 5.337 5.337 5.964
angles: 90.00 90.00 120.00
Element x y z (fractional)
K1 0.000 0.000 0.000
Ta1 0.333 0.667 0.454
Mo1 0.667 0.333 0.529
O1 0.398 0.002 0.681
O2 0.402 0.389 0.306
O3 0.605 0.602 0.681
O4 0.611 0.013 0.306
O5 0.987 0.598 0.306
O6 0.998 0.395 0.681

Largest 10 diffraction maxima, by angle, 2θ = 10–90°:
two_theta, I_rel, hkl
14.85, 93, 0 0 1
19.20, 38, 1 0 0
24.37, 100, 0 1 1
33.59, 39, 1 1 0
35.84, 19, 0 1 2
36.90, 41, 2 -1 1
45.62, 46, 2 -1 2
49.94, 26, 0 1 3
54.76, 21, 3 -2 1
61.53, 20, 2 0 3